[1]
# Ac4Ag3Ge5
Calculated PXRD pattern, Cu Kα (weighted mean of Kα1 and Kα2). Input: the GGA-PBE geometry in Alexandria.
Kinematic intensities with the Lorentz-polarization factor, no thermal factor.

Atomic structure:
Lattice parameters (Å, degrees): 8.1582 8.1582 11.5964 120.07 120.07 33.63
Fractional coordinates of all 12 atoms:
Ac (0.0928, 0.0928, 0.4061)
Ac (0.2548, 0.2548, 0.8269)
Ac (0.7452, 0.7452, 0.1731)
Ac (0.9072, 0.9072, 0.5939)
Ag (0.0000, 0.0000, 0.0000)
Ag (0.4241, 0.4241, 0.1516)
Ag (0.5759, 0.5759, 0.8484)
Ge (0.2739, 0.2739, 0.3766)
Ge (0.4287, 0.4287, 0.3752)
Ge (0.5000, 0.5000, 0.0000)
Ge (0.5713, 0.5713, 0.6248)
Ge (0.7261, 0.7261, 0.6234)

Top 6 peaks for 2θ from 10° to 80°, by angle:
2theta  d/Å  I_rel
23.02  3.863  41
25.52  3.491  100
29.27  3.051  80
32.25  2.775  37
36.38  2.469  44
38.13  2.360  56

---

[2]
# Ca2Ag2Pd5Au
Calculated PXRD pattern, Cu Kα (weighted mean of Kα1 and Kα2). Input: the GGA-PBE geometry in Alexandria.
Kinematic intensities with the Lorentz-polarization factor, no thermal factor.

Atomic structure:
Lattice parameters (Å, degrees): 9.5387 9.5387 4.1866 90.00 90.00 90.00
Fractional coordinates of all 20 atoms:
Ca (0.1759, 0.3241, 0.0000)
Ca (0.3241, 0.8241, 0.0000)
Ca (0.6759, 0.1759, 0.0000)
Ca (0.8241, 0.6759, 0.0000)
Ag (0.1230, 0.6230, 0.0000)
Ag (0.3770, 0.1230, 0.0000)
Ag (0.6230, 0.8770, 0.0000)
Ag (0.8770, 0.3770, 0.0000)
Pd (0.0000, 0.5000, 0.5000)
Pd (0.0629, 0.7994, 0.5000)
Pd (0.2006, 0.0629, 0.5000)
Pd (0.2994, 0.5629, 0.5000)
Pd (0.4371, 0.2994, 0.5000)
Pd (0.5000, 0.0000, 0.5000)
Pd (0.5629, 0.7006, 0.5000)
Pd (0.7006, 0.4371, 0.5000)
Pd (0.7994, 0.9371, 0.5000)
Pd (0.9371, 0.2006, 0.5000)
Au (0.0000, 0.0000, 0.0000)
Au (0.5000, 0.5000, 0.0000)

Top 6 peaks for 2θ from 10° to 80°, by angle:
2theta  d/Å  I_rel
18.60  4.769  22
20.82  4.266  23
34.14  2.626  24
36.72  2.447  100
40.33  2.236  33
43.22  2.093  25

---

[3]
# TmZnCu11
Calculated PXRD pattern, Cu Kα (weighted mean of Kα1 and Kα2). Input: the GGA-PBE geometry in Alexandria.
Kinematic intensities with the Lorentz-polarization factor, no thermal factor.

Atomic structure:
Lattice parameters (Å, degrees): 6.4386 6.4386 6.4901 97.97 97.97 135.76
Fractional coordinates of all 13 atoms:
Tm (0.0000, 0.0000, 0.0000)
Zn (0.5000, 0.5000, 0.5000)
Cu (0.0000, 0.0000, 0.5000)
Cu (0.0000, 0.5000, 0.0000)
Cu (0.0097, 0.6524, 0.6486)
Cu (0.2802, 0.5007, 0.7813)
Cu (0.3476, 0.9903, 0.3514)
Cu (0.4993, 0.7198, 0.2187)
Cu (0.5000, 0.0000, 0.0000)
Cu (0.5007, 0.2802, 0.7813)
Cu (0.6524, 0.0097, 0.6486)
Cu (0.7198, 0.4993, 0.2187)
Cu (0.9903, 0.3476, 0.3514)

Top 6 peaks for 2θ from 10° to 80°, by angle:
2theta  d/Å  I_rel
36.73  2.447  30
36.86  2.439  28
42.42  2.131  29
42.62  2.121  98
42.90  2.108  100
43.04  2.101  44

---

[4]
# Ac3TcGe5
Calculated PXRD pattern, Cu Kα (weighted mean of Kα1 and Kα2). Input: the GGA-PBE geometry in Alexandria.
Kinematic intensities with the Lorentz-polarization factor, no thermal factor.

Atomic structure:
Lattice parameters (Å, degrees): 9.2954 9.2954 6.0963 90.00 90.00 120.00
Fractional coordinates of all 18 atoms:
Ac (0.0000, 0.3811, 0.2500)
Ac (0.0000, 0.6189, 0.7500)
Ac (0.3811, 0.0000, 0.2500)
Ac (0.3811, 0.3811, 0.7500)
Ac (0.6189, 0.0000, 0.7500)
Ac (0.6189, 0.6189, 0.2500)
Tc (0.0000, 0.0000, 0.0000)
Tc (0.0000, 0.0000, 0.5000)
Ge (0.0000, 0.2247, 0.7500)
Ge (0.0000, 0.7753, 0.2500)
Ge (0.2247, 0.0000, 0.7500)
Ge (0.2247, 0.2247, 0.2500)
Ge (0.3333, 0.6667, 0.0000)
Ge (0.3333, 0.6667, 0.5000)
Ge (0.6667, 0.3333, 0.0000)
Ge (0.6667, 0.3333, 0.5000)
Ge (0.7753, 0.0000, 0.2500)
Ge (0.7753, 0.7753, 0.7500)

Top 6 peaks for 2θ from 10° to 80°, by angle:
2theta  d/Å  I_rel
24.08  3.696  100
32.90  2.722  100
33.39  2.683  81
35.21  2.549  92
41.59  2.171  39
49.32  1.848  35

---

[5]
# PmNd4Sm2Er
Calculated PXRD pattern, Cu Kα (weighted mean of Kα1 and Kα2). Input: the GGA-PBE geometry in Alexandria.
Kinematic intensities with the Lorentz-polarization factor, no thermal factor.

Atomic structure:
Lattice parameters (Å, degrees): 5.1491 5.1659 10.2709 90.00 90.08 90.00
Fractional coordinates of all 8 atoms:
Pm (0.0000, 0.0000, 0.0000)
Nd (0.0003, 0.5000, 0.2526)
Nd (0.9997, 0.5000, 0.7474)
Nd (0.5002, 0.0000, 0.2521)
Nd (0.4998, 0.0000, 0.7479)
Sm (0.0000, 0.0000, 0.5000)
Sm (0.5000, 0.5000, 0.0000)
Er (0.5000, 0.5000, 0.5000)

Top 6 peaks for 2θ from 10° to 80°, by angle:
2theta  d/Å  I_rel
30.05  2.973  100
34.73  2.583  17
34.90  2.571  34
50.06  1.822  24
59.39  1.556  15
59.54  1.553  14

---

[6]
# Ti4Nb2Tc
Calculated PXRD pattern, Cu Kα (weighted mean of Kα1 and Kα2). Input: the GGA-PBE geometry in Alexandria.
Kinematic intensities with the Lorentz-polarization factor, no thermal factor.

Atomic structure:
Lattice parameters (Å, degrees): 2.8847 6.8162 6.9871 117.52 97.95 96.43
Fractional coordinates of all 7 atoms:
Ti (0.1269, 0.0932, 0.3671)
Ti (0.2405, 0.6385, 0.2305)
Ti (0.7595, 0.3615, 0.7695)
Ti (0.8731, 0.9068, 0.6329)
Nb (0.4523, 0.2135, 0.0656)
Nb (0.5477, 0.7865, 0.9344)
Tc (0.0000, 0.5000, 0.5000)

Top 6 peaks for 2θ from 10° to 80°, by angle:
2theta  d/Å  I_rel
15.01  5.901  40
38.23  2.354  60
38.67  2.328  52
39.62  2.275  100
39.86  2.262  50
40.69  2.218  47

---

[7]
# GeSbPd4
Calculated PXRD pattern, Cu Kα (weighted mean of Kα1 and Kα2). Input: the GGA-PBE geometry in Alexandria.
Kinematic intensities with the Lorentz-polarization factor, no thermal factor.

Atomic structure:
Lattice parameters (Å, degrees): 7.0761 3.3433 16.7849 90.00 90.00 90.00
Fractional coordinates of all 24 atoms:
Ge (0.2466, 0.2500, 0.0545)
Ge (0.2534, 0.7500, 0.5545)
Ge (0.7466, 0.2500, 0.4455)
Ge (0.7534, 0.7500, 0.9455)
Sb (0.2290, 0.7500, 0.3123)
Sb (0.2710, 0.2500, 0.8123)
Sb (0.7290, 0.7500, 0.1877)
Sb (0.7710, 0.2500, 0.6877)
Pd (0.0298, 0.2500, 0.9322)
Pd (0.0410, 0.2500, 0.2075)
Pd (0.1155, 0.2500, 0.4461)
Pd (0.1386, 0.2500, 0.6583)
Pd (0.3614, 0.7500, 0.1583)
Pd (0.3845, 0.7500, 0.9461)
Pd (0.4590, 0.7500, 0.7075)
Pd (0.4702, 0.7500, 0.4322)
Pd (0.5298, 0.2500, 0.5678)
Pd (0.5410, 0.2500, 0.2925)
Pd (0.6155, 0.2500, 0.0539)
Pd (0.6386, 0.2500, 0.8417)
Pd (0.8614, 0.7500, 0.3417)
Pd (0.8845, 0.7500, 0.5539)
Pd (0.9590, 0.7500, 0.7925)
Pd (0.9702, 0.7500, 0.0678)

Top 6 peaks for 2θ from 10° to 80°, by angle:
2theta  d/Å  I_rel
36.64  2.453  100
36.97  2.432  46
37.98  2.369  27
40.47  2.229  43
43.11  2.098  29
44.04  2.056  49

---

[8]
# BeSiW
Calculated PXRD pattern, Cu Kα (weighted mean of Kα1 and Kα2). Input: the GGA-PBE geometry in Alexandria.
Kinematic intensities with the Lorentz-polarization factor, no thermal factor.

Atomic structure:
Lattice parameters (Å, degrees): 2.7595 3.3185 8.2283 90.00 90.00 90.00
Fractional coordinates of all 6 atoms:
Be (0.0000, 0.0000, 0.0000)
Be (0.5000, 0.5000, 0.5000)
Si (0.0000, 0.0000, 0.6457)
Si (0.5000, 0.5000, 0.1457)
W (0.0000, 0.0000, 0.3296)
W (0.5000, 0.5000, 0.8296)

Top 6 peaks for 2θ from 10° to 80°, by angle:
2theta  d/Å  I_rel
21.60  4.114  91
29.01  3.078  100
34.27  2.616  65
42.61  2.122  59
42.77  2.114  58
48.26  1.886  46

---

[9]
# Na14Mn2Se9
Calculated PXRD pattern, Cu Kα (weighted mean of Kα1 and Kα2). Input: the GGA-PBE geometry in Alexandria.
Kinematic intensities with the Lorentz-polarization factor, no thermal factor.

Atomic structure:
Lattice parameters (Å, degrees): 8.2449 8.2449 11.5909 90.00 90.00 120.00
Fractional coordinates of all 25 atoms:
Na (0.0000, 0.0000, 0.2495)
Na (0.0000, 0.0000, 0.7505)
Na (0.0270, 0.6735, 0.4096)
Na (0.0576, 0.3736, 0.0926)
Na (0.3160, 0.9424, 0.0926)
Na (0.3265, 0.3535, 0.4096)
Na (0.3535, 0.0270, 0.5904)
Na (0.3736, 0.3160, 0.9074)
Na (0.6264, 0.6840, 0.0926)
Na (0.6465, 0.9730, 0.4096)
Na (0.6735, 0.6465, 0.5904)
Na (0.6840, 0.0576, 0.9074)
Na (0.9424, 0.6264, 0.9074)
Na (0.9730, 0.3265, 0.5904)
Mn (0.3333, 0.6667, 0.7601)
Mn (0.6667, 0.3333, 0.2399)
Se (0.0000, 0.0000, 0.5000)
Se (0.0533, 0.3585, 0.8365)
Se (0.3052, 0.9467, 0.8365)
Se (0.3333, 0.6667, 0.5370)
Se (0.3585, 0.3052, 0.1635)
Se (0.6415, 0.6948, 0.8365)
Se (0.6667, 0.3333, 0.4630)
Se (0.6948, 0.0533, 0.1635)
Se (0.9467, 0.6415, 0.1635)

Top 6 peaks for 2θ from 10° to 80°, by angle:
2theta  d/Å  I_rel
14.57  6.079  41
22.90  3.884  100
23.02  3.864  37
37.80  2.380  61
37.95  2.371  64
44.70  2.027  37

---

[10]
# Hf2FeTc2
Calculated PXRD pattern, Cu Kα (weighted mean of Kα1 and Kα2). Input: the GGA-PBE geometry in Alexandria.
Kinematic intensities with the Lorentz-polarization factor, no thermal factor.

Atomic structure:
Lattice parameters (Å, degrees): 6.4943 6.4943 4.1637 90.00 90.00 90.00
Fractional coordinates of all 10 atoms:
Hf (0.1767, 0.3233, 0.0000)
Hf (0.3233, 0.8233, 0.0000)
Hf (0.6767, 0.1767, 0.0000)
Hf (0.8233, 0.6767, 0.0000)
Fe (0.0000, 0.0000, 0.5000)
Fe (0.5000, 0.5000, 0.5000)
Tc (0.1374, 0.6374, 0.5000)
Tc (0.3626, 0.1374, 0.5000)
Tc (0.6374, 0.8626, 0.5000)
Tc (0.8626, 0.3626, 0.5000)

Top 6 peaks for 2θ from 10° to 80°, by angle:
2theta  d/Å  I_rel
35.04  2.561  22
37.77  2.382  100
43.47  2.082  19
44.10  2.054  21
63.11  1.473  17
63.65  1.462  14

---

[11]
# Cd2InAg7
Calculated PXRD pattern, Cu Kα (weighted mean of Kα1 and Kα2). Input: the GGA-PBE geometry in Alexandria.
Kinematic intensities with the Lorentz-polarization factor, no thermal factor.

Atomic structure:
Lattice parameters (Å, degrees): 4.8377 4.8377 10.0152 100.13 100.13 55.54
Fractional coordinates of all 10 atoms:
Cd (0.0000, 0.0000, 0.0000)
Cd (0.1023, 0.1023, 0.3036)
In (0.8984, 0.8984, 0.6891)
Ag (0.2005, 0.2005, 0.5997)
Ag (0.2991, 0.2991, 0.8992)
Ag (0.4005, 0.4005, 0.1963)
Ag (0.5006, 0.5006, 0.4940)
Ag (0.5996, 0.5996, 0.7966)
Ag (0.7009, 0.7009, 0.0958)
Ag (0.8007, 0.8007, 0.3924)

Top 6 peaks for 2θ from 10° to 80°, by angle:
2theta  d/Å  I_rel
37.22  2.416  100
37.40  2.405  99
38.65  2.330  45
40.00  2.254  41
50.61  1.804  20
56.84  1.620  28

---

[12]
# Cs5K3Rb6
Calculated PXRD pattern, Cu Kα (weighted mean of Kα1 and Kα2). Input: the GGA-PBE geometry in Alexandria.
Kinematic intensities with the Lorentz-polarization factor, no thermal factor.

Atomic structure:
Lattice parameters (Å, degrees): 14.1189 14.1189 14.1189 146.48 117.43 72.88
Fractional coordinates of all 14 atoms:
Cs (0.0000, 0.0000, 0.0000)
Cs (0.2226, 0.8945, 0.3281)
Cs (0.4336, 0.1055, 0.3281)
Cs (0.5664, 0.8945, 0.6719)
Cs (0.7774, 0.1055, 0.6719)
K (0.1898, 0.5000, 0.6898)
K (0.5000, 0.5000, 0.0000)
K (0.8102, 0.5000, 0.3102)
Rb (0.1308, 0.2867, 0.8441)
Rb (0.1756, 0.6756, 0.5000)
Rb (0.4426, 0.2867, 0.1559)
Rb (0.5574, 0.7133, 0.8441)
Rb (0.8244, 0.3244, 0.5000)
Rb (0.8692, 0.7133, 0.1559)

Top 6 peaks for 2θ from 10° to 80°, by angle:
2theta  d/Å  I_rel
18.57  4.778  43
20.02  4.434  88
21.64  4.107  31
21.83  4.072  75
22.41  3.968  76
22.62  3.932  100

---

Repeat the third record exactly.
# TmZnCu11
Calculated PXRD pattern, Cu Kα (weighted mean of Kα1 and Kα2). Input: the GGA-PBE geometry in Alexandria.
Kinematic intensities with the Lorentz-polarization factor, no thermal factor.

Atomic structure:
Lattice parameters (Å, degrees): 6.4386 6.4386 6.4901 97.97 97.97 135.76
Fractional coordinates of all 13 atoms:
Tm (0.0000, 0.0000, 0.0000)
Zn (0.5000, 0.5000, 0.5000)
Cu (0.0000, 0.0000, 0.5000)
Cu (0.0000, 0.5000, 0.0000)
Cu (0.0097, 0.6524, 0.6486)
Cu (0.2802, 0.5007, 0.7813)
Cu (0.3476, 0.9903, 0.3514)
Cu (0.4993, 0.7198, 0.2187)
Cu (0.5000, 0.0000, 0.0000)
Cu (0.5007, 0.2802, 0.7813)
Cu (0.6524, 0.0097, 0.6486)
Cu (0.7198, 0.4993, 0.2187)
Cu (0.9903, 0.3476, 0.3514)

Top 6 peaks for 2θ from 10° to 80°, by angle:
2theta  d/Å  I_rel
36.73  2.447  30
36.86  2.439  28
42.42  2.131  29
42.62  2.121  98
42.90  2.108  100
43.04  2.101  44